For Ac2Ga6CoIr, a structure optimized by DFT (GGA-PBE) gives the theoretical powder XRD pattern in this record (Cu Kα, 1.54184 Å).

Top 10 peaks for 2θ from 10° to 80°, sorted by position:
| d/Å | intensity |
| --- | --- |
| 3.371 | 100 |
| 2.753 | 52 |
| 2.384 | 85 |
| 1.946 | 44 |
| 1.686 | 49 |
| 1.508 | 17 |
| 1.438 | 14 |
| 1.378 | 10 |
| 1.275 | 12 |
| 1.273 | 12 |

```
data_Ac2Ga6CoIr
_chemical_formula_sum 'Ac4 Ga12 Co2 Ir2'
_space_group_name_H-M_alt 'I m m m'
_space_group_IT_number 71
_space_group_name_Hall '-I 2 2'
_cell_length_a 6.732
_cell_length_b 6.752
_cell_length_c 9.535
_cell_angle_alpha 90.00
_cell_angle_beta 90.00
_cell_angle_gamma 90.00
loop_
_atom_site_label
_atom_site_type_symbol
_atom_site_fract_x
_atom_site_fract_y
_atom_site_fract_z
_atom_site_occupancy
Ac1 Ac 0.000 0.000 0.250 1
Ga1 Ga 0.000 0.500 0.241 1
Ga2 Ga 0.242 0.259 0.000 1
Co1 Co 0.000 0.500 0.000 1
Ir1 Ir 0.000 0.500 0.500 1
```


For SrCa2Ag, a structure optimized by DFT (GGA-PBE) gives the theoretical powder XRD pattern in this record (Cu Kα, 1.54184 Å).

Top 10 peaks for 2θ from 10° to 80°, sorted by position:
| d/Å | intensity |
| --- | --- |
| 5.797 | 19 |
| 3.512 | 12 |
| 3.004 | 100 |
| 2.899 | 23 |
| 2.484 | 29 |
| 1.886 | 25 |
| 1.693 | 17 |
| 1.516 | 23 |
| 1.502 | 11 |
| 1.219 | 11 |

```
data_SrCa2Ag
_chemical_formula_sum 'Sr2 Ca4 Ag2'
_space_group_name_H-M_alt 'I 4/m m m'
_space_group_IT_number 139
_space_group_name_Hall '-I 4 2'
_cell_length_a 4.967
_cell_length_b 4.967
_cell_length_c 11.595
_cell_angle_alpha 90.00
_cell_angle_beta 90.00
_cell_angle_gamma 90.00
loop_
_atom_site_label
_atom_site_type_symbol
_atom_site_fract_x
_atom_site_fract_y
_atom_site_fract_z
_atom_site_occupancy
Sr1 Sr 0.000 0.000 0.000 1
Ca1 Ca 0.000 0.500 0.250 1
Ag1 Ag 0.000 0.000 0.500 1
```


For Ce16Ru9, a structure optimized by DFT (GGA-PBE) gives the theoretical powder XRD pattern in this record (Cu Kα, 1.54184 Å).

Top 10 peaks for 2θ from 10° to 80°, sorted by position:
| d/Å | intensity |
| --- | --- |
| 3.110 | 29 |
| 2.824 | 31 |
| 2.805 | 26 |
| 2.734 | 65 |
| 2.700 | 100 |
| 2.590 | 26 |
| 2.411 | 76 |
| 2.371 | 13 |
| 2.246 | 57 |
| 1.585 | 34 |

```
data_Ce16Ru9
_chemical_formula_sum 'Ce96 Ru54'
_space_group_name_H-M_alt 'R -3 m'
_space_group_IT_number 166
_space_group_name_Hall '-R 3 2"'
_cell_length_a 13.4730
_cell_length_b 13.4730
_cell_length_c 22.5024
_cell_angle_alpha 90.00
_cell_angle_beta 90.00
_cell_angle_gamma 120.00
loop_
_atom_site_label
_atom_site_type_symbol
_atom_site_fract_x
_atom_site_fract_y
_atom_site_fract_z
_atom_site_occupancy
Ce1 Ce 0.0000 0.0000 0.0000 1
Ce2 Ce 0.0000 0.0000 0.5000 1
Ce3 Ce 0.0000 0.2809 0.0000 1
Ce4 Ce 0.0000 0.2934 0.5000 1
Ce5 Ce 0.0843 0.1686 0.1192 1
Ce6 Ce 0.0906 0.1813 0.3777 1
Ce7 Ce 0.0915 0.1829 0.7510 1
Ru1 Ru 0.0786 0.5393 0.9162 1
Ru2 Ru 0.0791 0.5395 0.2697 1
Ru3 Ru 0.0822 0.5411 0.5534 1
```


For CaCdIn2Hg4, a structure optimized by DFT (GGA-PBE) gives the theoretical powder XRD pattern in this record (Cu Kα, 1.54184 Å).

Top 10 peaks for 2θ from 10° to 80°, sorted by position:
| d/Å | intensity |
| --- | --- |
| 4.052 | 27 |
| 3.049 | 60 |
| 2.828 | 100 |
| 2.711 | 45 |
| 2.074 | 82 |
| 2.026 | 38 |
| 1.587 | 18 |
| 1.408 | 23 |
| 1.342 | 19 |
| 1.283 | 18 |

```
data_CaCdIn2Hg4
_chemical_formula_sum 'Ca4 Cd4 In8 Hg16'
_space_group_name_H-M_alt 'F 2 2 2'
_space_group_IT_number 22
_space_group_name_Hall 'F 2 2'
_cell_length_a 6.630
_cell_length_b 10.845
_cell_length_c 12.196
_cell_angle_alpha 90.00
_cell_angle_beta 90.00
_cell_angle_gamma 90.00
loop_
_atom_site_label
_atom_site_type_symbol
_atom_site_fract_x
_atom_site_fract_y
_atom_site_fract_z
_atom_site_occupancy
Ca1 Ca 0.000 0.000 0.000 1
Cd1 Cd 0.250 0.250 0.250 1
In1 In 0.000 0.000 0.500 1
In2 In 0.250 0.250 0.750 1
Hg1 Hg 0.000 0.000 0.258 1
Hg2 Hg 0.250 0.250 0.002 1
```